1.
The following is a calculated PXRD pattern of Sr2ZrTiO6. It was derived from a crystal structure in the Materials Project, relaxed with PBE, using Cu Kα (λ = 1.5418 Å).
Lines closer than 0.1° are merged.

Unit cell a=8.1306 b=8.1306 c=8.1306 alpha=90.00 beta=90.00 gamma=90.00
Space group Fm-3m (No. 225)
Unique sites:
Sr1 0.2500 0.2500 0.2500 x8
Zr1 0.0000 0.0000 0.0000 x4
Ti1 0.0000 0.0000 0.5000 x4
O1 0.0000 0.0000 0.2579 x24

The 10 most intense peaks (2θ from 15° to 90°), by angle:
2theta  I/Imax
18.90  4.5
31.11  100.0
36.66  3.6
38.35  8.4
44.58  37.6
55.36  38.7
64.87  22.1
73.69  16.8
77.95  2.2
82.13  7.2

---

2.
The following is a calculated PXRD pattern of Nd2Pt2O7. It was derived from a crystal structure in the Materials Project, relaxed with PBE, using Cu Kα (λ = 1.5418 Å).
Lines closer than 0.1° are merged.

Unit cell a=10.5202 b=10.5202 c=10.5202 alpha=90.00 beta=90.00 gamma=90.00
Space group Fd-3m (No. 227, origin choice 2)
Unique sites:
Nd1 0.0000 0.0000 0.0000 x16
Pt1 0.0000 0.0000 0.5000 x16
O1 0.0855 0.3750 0.8750 x48
O2 0.1250 0.1250 0.1250 x8

The 10 most intense peaks (2θ from 15° to 90°), by angle:
2theta  I/Imax
28.13  3.0
29.41  100.0
34.09  36.6
48.98  45.9
58.17  44.5
61.02  10.8
68.51  0.9
71.78  6.9
79.41  18.2
81.91  15.1

---

3.
The following is a calculated PXRD pattern of Nd3MnAlS7. It was derived from a crystal structure in the Materials Project, relaxed with PBE, using Cu Kα (λ = 1.5418 Å).
Lines closer than 0.1° are merged.

Unit cell a=10.0031 b=10.0031 c=6.1114 alpha=90.00 beta=90.00 gamma=120.00
Space group P6_3 (No. 173)
Unique sites:
Nd1 0.1466 0.3767 0.0000 x6
Mn1 0.0000 0.0000 0.2796 x2
Al1 0.3333 0.6667 0.4217 x2
S1 0.0953 0.2394 0.5534 x6
S2 0.0976 0.5768 0.2735 x6
S3 0.3333 0.6667 0.7869 x2

The 10 most intense peaks (2θ from 15° to 90°), by angle:
2theta  I/Imax
17.76  48.9
25.20  100.0
27.24  41.8
34.36  70.2
35.94  86.0
40.35  71.5
48.15  43.9
50.54  29.0
67.57  33.9
73.33  30.3

---

4.
The following is a calculated PXRD pattern of Nb7B6C3. It was derived from a crystal structure in the Materials Project, relaxed with PBE, using Cu Kα (λ = 1.5418 Å).
Lines closer than 0.1° are merged.

Unit cell a=3.1488 b=33.3770 c=3.2634 alpha=90.00 beta=90.00 gamma=90.00
Space group Cmmm (No. 65)
Unique sites:
Nb1 0.0000 0.0000 0.0000 x2
Nb2 0.0000 0.1306 0.0000 x4
Nb3 0.0000 0.2905 0.0000 x4
Nb4 0.0000 0.4328 0.5000 x4
B1 0.0000 0.1816 0.5000 x4
B2 0.0000 0.2365 0.5000 x4
B3 0.0000 0.3475 0.5000 x4
C1 0.0000 0.0661 0.0000 x4
C2 0.0000 0.5000 0.5000 x2

The 10 most intense peaks (2θ from 15° to 90°), by angle:
2theta  I/Imax
31.79  21.2
34.12  100.0
34.91  34.2
37.73  35.1
39.88  56.5
42.11  32.2
42.71  20.7
44.26  21.3
58.10  18.9
67.58  27.2

---

5.
The following is a calculated PXRD pattern of ThAlIr. It was derived from a crystal structure in the Materials Project, relaxed with PBE, using Cu Kα (λ = 1.5418 Å).
Lines closer than 0.1° are merged.

Unit cell a=7.2294 b=7.2294 c=4.1635 alpha=90.00 beta=90.00 gamma=120.00
Space group P-62m (No. 189)
Unique sites:
Th1 0.0000 0.4181 0.0000 x3
Al1 0.0000 0.7700 0.5000 x3
Ir1 0.0000 0.0000 0.0000 x1
Ir2 0.3333 0.6667 0.5000 x2

The 10 most intense peaks (2θ from 15° to 90°), by angle:
2theta  I/Imax
24.63  36.6
28.51  22.5
32.81  70.1
35.89  100.0
43.36  25.0
43.47  23.3
44.01  25.9
52.75  24.9
57.51  21.6
69.19  20.7

---

6.
The following is a calculated PXRD pattern of YNi2P2. It was derived from a crystal structure in the Materials Project, relaxed with PBE, using Cu Kα (λ = 1.5418 Å).
Lines closer than 0.1° are merged.

Unit cell a=3.8871 b=3.8871 c=9.4118 alpha=90.00 beta=90.00 gamma=90.00
Space group I4/mmm (No. 139)
Unique sites:
Y1 0.0000 0.0000 0.0000 x2
Ni1 0.0000 0.5000 0.2500 x4
P1 0.0000 0.0000 0.3767 x4

The 10 most intense peaks (2θ from 15° to 90°), by angle:
2theta  I/Imax
24.78  12.8
36.82  38.3
37.91  100.0
38.25  12.7
46.74  42.8
54.14  12.6
60.93  16.6
68.24  13.0
68.92  14.9
80.81  19.6

---

7.
The following is a calculated PXRD pattern of YAlN2. It was derived from a crystal structure in the Materials Project, relaxed with PBE, using Cu Kα (λ = 1.5418 Å).
Lines closer than 0.1° are merged.

Unit cell a=5.4027 b=5.4027 c=7.1552 alpha=90.00 beta=90.00 gamma=90.00
Space group I-42d (No. 122)
Unique sites:
Y1 0.0000 0.0000 0.0000 x4
Al1 0.0000 0.0000 0.5000 x4
N1 0.1910 0.7500 0.6250 x8

The 10 most intense peaks (2θ from 15° to 90°), by angle:
2theta  I/Imax
20.60  39.2
33.16  33.3
34.34  100.0
39.36  23.9
41.38  10.0
47.61  24.5
60.01  36.9
62.25  21.6
72.38  7.9
79.97  7.8

---

8.
The following is a calculated PXRD pattern of MgTi6H4O14. It was derived from a crystal structure in the Materials Project, relaxed with PBE, using Cu Kα (λ = 1.5418 Å).
Lines closer than 0.1° are merged.

Unit cell a=3.9214 b=8.6524 c=9.5117 alpha=72.58 beta=89.72 gamma=84.94
Space group P1 (No. 1)
Unique sites:
Mg1 0.0000 0.0000 0.0000 x1
Ti1 0.4584 0.1982 0.7860 x1
Ti2 0.4860 0.1180 0.4968 x1
Ti3 0.4868 0.0881 0.1986 x1
Ti4 0.9014 0.4552 0.8153 x1
Ti5 0.9336 0.4083 0.5004 x1
Ti6 0.9464 0.3275 0.2106 x1
H1 0.0052 0.6759 0.1713 x1
H2 0.4790 0.6785 0.8837 x1
H3 0.6251 0.8207 0.7583 x1
H4 0.9104 0.7084 0.0039 x1
O1 0.0273 0.7562 0.0707 x1
O2 0.4224 0.4038 0.8299 x1
O3 0.4443 0.3332 0.5538 x1
O4 0.4538 0.2874 0.2554 x1
O5 0.4907 0.0464 0.9939 x1
O6 0.5059 0.0179 0.6949 x1
O7 0.5101 0.9668 0.3907 x1
O8 0.6861 0.7076 0.8281 x1
O9 0.9104 0.5474 0.6123 x1
O10 0.9236 0.5082 0.3086 x1
O11 0.9301 0.4456 0.0237 x1
O12 0.9569 0.2167 0.8037 x1
O13 0.9723 0.1841 0.4634 x1
O14 0.9843 0.1002 0.1693 x1

The 10 most intense peaks (2θ from 15° to 90°), by angle:
2theta  I/Imax
16.58  73.9
24.33  100.0
26.14  93.0
29.54  69.3
30.10  45.8
34.54  42.6
37.07  46.3
45.29  55.6
46.51  70.5
46.83  52.2

---

9.
The following is a calculated PXRD pattern of Sr2SmBiO6. It was derived from a crystal structure in the Materials Project, relaxed with PBE, using Cu Kα (λ = 1.5418 Å).
Lines closer than 0.1° are merged.

Unit cell a=8.7093 b=8.7093 c=8.7093 alpha=90.00 beta=90.00 gamma=90.00
Space group Fm-3m (No. 225)
Unique sites:
Sr1 0.2500 0.2500 0.2500 x8
Sm1 0.0000 0.0000 0.0000 x4
Bi1 0.0000 0.0000 0.5000 x4
O1 0.0000 0.0000 0.2584 x24

The 10 most intense peaks (2θ from 15° to 90°), by angle:
2theta  I/Imax
20.39  21.7
29.00  100.0
41.47  30.3
46.64  10.0
51.40  42.1
60.10  19.4
64.16  4.7
68.09  18.7
75.65  6.5
82.97  22.5

---

10.
The following is a calculated PXRD pattern of BiSbO5. It was derived from a crystal structure in the Materials Project, relaxed with PBE, using Cu Kα (λ = 1.5418 Å).
Lines closer than 0.1° are merged.

Unit cell a=5.8174 b=16.7603 c=10.7155 alpha=90.00 beta=90.00 gamma=90.00
Space group Pbca (No. 61)
Unique sites:
Bi1 0.0581 0.1978 0.1616 x8
Sb1 0.0285 0.6082 0.6498 x8
O1 0.1364 0.7145 0.7097 x8
O2 0.1732 0.1594 0.9778 x8
O3 0.2043 0.5541 0.5231 x8
O4 0.2198 0.0584 0.7587 x8
O5 0.2437 0.1393 0.3004 x8

The 10 most intense peaks (2θ from 15° to 90°), by angle:
2theta  I/Imax
16.55  44.1
18.14  67.8
22.79  100.0
23.59  57.8
27.70  97.1
29.83  43.8
33.14  30.9
33.52  79.9
44.26  37.1
45.83  32.4

---

11.
The following is a calculated PXRD pattern of LaMgAg. It was derived from a crystal structure in the Materials Project, relaxed with PBE, using Cu Kα (λ = 1.5418 Å).
Lines closer than 0.1° are merged.

Unit cell a=7.9201 b=7.9201 c=4.3909 alpha=90.00 beta=90.00 gamma=120.00
Space group P-62m (No. 189)
Unique sites:
La1 0.0000 0.5853 0.0000 x3
Mg1 0.0000 0.2392 0.5000 x3
Ag1 0.0000 0.0000 0.0000 x1
Ag2 0.3333 0.6667 0.5000 x2

The 10 most intense peaks (2θ from 15° to 90°), by angle:
2theta  I/Imax
22.45  33.1
25.98  20.4
30.40  76.0
33.15  100.0
34.60  21.2
39.41  28.8
40.40  25.9
41.11  23.2
52.42  21.8
62.72  22.7